# 1
# CsK6Na4
Calculated PXRD pattern, copper Kα. Input: a GGA-PBE-relaxed structure.
Neutral-atom scattering factors, no anomalous dispersion.

Structure:
abc: 8.087 8.088 12.260
angles: 100.05 100.25 116.64
Fractional coordinates of all 11 atoms:
Cs 0.000 0.000 0.000
K 0.016 0.569 0.564
K 0.186 0.184 0.379
K 0.296 0.636 0.926
K 0.574 0.015 0.566
K 0.637 0.297 0.928
K 0.639 0.639 0.286
Na 0.117 0.619 0.233
Na 0.119 0.114 0.681
Na 0.574 0.570 0.675
Na 0.618 0.115 0.233

Principal peaks in the range 2θ from 15° to 90°, by angle:
2theta	I/Imax
20.9	42
22.4	69
22.7	27
22.9	27
23.1	33
24.8	45
25.0	44
25.8	44
25.9	100
26.2	29
26.5	58
29.3	19

---

# 2
# Cs5K3Na6
Calculated PXRD pattern, copper Kα. Input: a GGA-PBE-relaxed structure.
Neutral-atom scattering factors, no anomalous dispersion.

Structure:
abc: 12.682 12.682 12.682
angles: 148.80 99.48 88.85
Fractional coordinates of all 14 atoms:
Cs 0.000 0.000 0.000
Cs 0.175 0.327 0.849
Cs 0.478 0.327 0.151
Cs 0.522 0.673 0.849
Cs 0.825 0.673 0.151
K 0.180 0.680 0.500
K 0.500 0.000 0.500
K 0.820 0.320 0.500
Na 0.135 0.906 0.229
Na 0.167 0.500 0.667
Na 0.323 0.094 0.229
Na 0.677 0.906 0.771
Na 0.833 0.500 0.333
Na 0.865 0.094 0.771

Principal peaks in the range 2θ from 15° to 90°, by angle:
2theta	I/Imax
15.6	36
19.6	100
20.8	41
21.9	44
23.1	59
25.8	37
26.1	43
29.6	35
34.4	27
38.5	33
39.9	31
42.4	25

---

# 3
# CsK6Na6
Calculated PXRD pattern, copper Kα. Input: a GGA-PBE-relaxed structure.
Neutral-atom scattering factors, no anomalous dispersion.

Structure:
abc: 10.562 10.562 10.562
angles: 137.23 98.92 96.36
Fractional coordinates of all 13 atoms:
Cs 0.000 0.000 0.000
K 0.187 0.500 0.687
K 0.342 0.342 0.000
K 0.348 0.000 0.348
K 0.652 0.000 0.652
K 0.658 0.658 0.000
K 0.813 0.500 0.313
Na 0.000 0.000 0.500
Na 0.000 0.500 0.000
Na 0.231 0.731 0.500
Na 0.500 0.000 0.000
Na 0.500 0.500 0.500
Na 0.769 0.269 0.500

Principal peaks in the range 2θ from 15° to 90°, by angle:
2theta	I/Imax
18.4	24
20.0	27
22.2	35
22.6	65
23.1	33
25.3	35
25.7	62
25.9	100
26.4	42
26.5	32
44.9	43
46.1	24

---

# 4
# Cs7KNa4
Calculated PXRD pattern, copper Kα. Input: a GGA-PBE-relaxed structure.
Neutral-atom scattering factors, no anomalous dispersion.

Structure:
abc: 10.837 10.837 14.786
angles: 121.15 121.15 44.56
Fractional coordinates of all 12 atoms:
Cs 0.000 0.000 0.000
Cs 0.197 0.197 0.648
Cs 0.287 0.287 0.111
Cs 0.429 0.429 0.615
Cs 0.571 0.571 0.385
Cs 0.713 0.713 0.889
Cs 0.803 0.803 0.352
K 0.500 0.500 0.000
Na 0.035 0.035 0.745
Na 0.179 0.179 0.336
Na 0.821 0.821 0.664
Na 0.965 0.965 0.255

Principal peaks in the range 2θ from 15° to 90°, by angle:
2theta	I/Imax
16.4	94
18.3	70
20.2	42
21.0	68
21.4	74
21.6	100
23.6	59
25.6	37
25.9	30
28.5	48
29.8	32
37.5	24

---

# 5
# Cs3K2Na9
Calculated PXRD pattern, copper Kα. Input: a GGA-PBE-relaxed structure.
Neutral-atom scattering factors, no anomalous dispersion.

Structure:
abc: 12.037 12.037 12.037
angles: 149.12 115.81 72.93
Fractional coordinates of all 14 atoms:
Cs 0.000 0.000 0.000
Cs 0.290 0.290 0.000
Cs 0.710 0.710 0.000
K 0.304 0.500 0.804
K 0.696 0.500 0.196
Na 0.029 0.676 0.353
Na 0.149 0.861 0.288
Na 0.323 0.676 0.647
Na 0.427 0.139 0.288
Na 0.500 0.000 0.500
Na 0.573 0.861 0.712
Na 0.677 0.324 0.353
Na 0.851 0.139 0.712
Na 0.971 0.324 0.647

Principal peaks in the range 2θ from 15° to 90°, by angle:
2theta	I/Imax
15.4	66
19.5	18
23.0	18
24.0	100
25.1	53
26.7	17
27.9	37
37.8	26
38.1	15
42.4	19
45.6	13
47.0	17

---

# 6
# Cs5K5Na6
Calculated PXRD pattern, copper Kα. Input: a GGA-PBE-relaxed structure.
Neutral-atom scattering factors, no anomalous dispersion.

Structure:
abc: 8.382 12.364 12.364
angles: 119.35 90.00 90.00
Fractional coordinates of all 16 atoms:
Cs 0.000 0.000 0.000
Cs 0.000 0.261 0.506
Cs 0.000 0.506 0.261
Cs 0.500 0.007 0.256
Cs 0.500 0.256 0.007
K 0.251 0.590 0.924
K 0.251 0.924 0.590
K 0.500 0.517 0.517
K 0.749 0.590 0.924
K 0.749 0.924 0.590
Na 0.000 0.259 0.845
Na 0.000 0.664 0.664
Na 0.000 0.845 0.259
Na 0.500 0.264 0.666
Na 0.500 0.666 0.264
Na 0.500 0.834 0.834

Principal peaks in the range 2θ from 15° to 90°, by angle:
2theta	I/Imax
17.7	37
17.8	39
21.2	27
22.0	24
22.8	25
24.2	42
24.4	100
24.8	22
25.7	49
38.2	26
39.1	27
39.8	27

---

# 7
# CsK12Na2
Calculated PXRD pattern, copper Kα. Input: a GGA-PBE-relaxed structure.
Neutral-atom scattering factors, no anomalous dispersion.

Structure:
abc: 8.316 8.316 33.871
angles: 90.00 90.00 90.00
Fractional coordinates of all 30 atoms:
Cs 0.250 0.750 0.000
Cs 0.750 0.250 0.000
K 0.001 0.501 0.122
K 0.001 0.999 0.878
K 0.070 0.570 0.440
K 0.070 0.930 0.560
K 0.250 0.250 0.219
K 0.250 0.250 0.338
K 0.250 0.250 0.662
K 0.250 0.250 0.781
K 0.430 0.570 0.560
K 0.430 0.930 0.440
K 0.499 0.501 0.878
K 0.499 0.999 0.122
K 0.501 0.001 0.878
K 0.501 0.499 0.122
K 0.570 0.070 0.560
K 0.570 0.430 0.440
K 0.750 0.750 0.219
K 0.750 0.750 0.338
K 0.750 0.750 0.662
K 0.750 0.750 0.781
K 0.930 0.070 0.440
K 0.930 0.430 0.560
K 0.999 0.001 0.122
K 0.999 0.499 0.878
Na 0.250 0.750 0.237
Na 0.250 0.750 0.763
Na 0.750 0.250 0.237
Na 0.750 0.250 0.763

Principal peaks in the range 2θ from 15° to 90°, by angle:
2theta	I/Imax
15.3	26
16.0	65
18.4	38
22.8	57
23.6	53
23.8	100
25.1	48
26.6	20
30.4	48
34.2	20
38.9	38
50.2	24

---

# 8
# Cs6K9Na
Calculated PXRD pattern, copper Kα. Input: a GGA-PBE-relaxed structure.
Neutral-atom scattering factors, no anomalous dispersion.

Structure:
abc: 12.554 12.554 12.554
angles: 120.95 120.95 88.37
Fractional coordinates of all 16 atoms:
Cs 0.133 0.321 0.455
Cs 0.227 0.227 0.000
Cs 0.321 0.867 0.188
Cs 0.679 0.133 0.812
Cs 0.773 0.773 0.000
Cs 0.867 0.679 0.545
K 0.006 0.550 0.210
K 0.204 0.994 0.544
K 0.339 0.796 0.790
K 0.450 0.661 0.456
K 0.500 0.500 0.000
K 0.550 0.339 0.544
K 0.661 0.204 0.210
K 0.796 0.006 0.456
K 0.994 0.450 0.790
Na 0.000 0.000 0.000

Principal peaks in the range 2θ from 15° to 90°, by angle:
2theta	I/Imax
16.8	28
17.4	18
19.7	15
21.8	100
22.7	63
30.3	27
32.3	26
37.8	9
38.2	10
38.6	10
39.4	20
42.1	12

---

# 9
# Cs6KNa10
Calculated PXRD pattern, copper Kα. Input: a GGA-PBE-relaxed structure.
Neutral-atom scattering factors, no anomalous dispersion.

Structure:
abc: 12.391 12.391 8.355
angles: 90.00 90.00 120.00
Fractional coordinates of all 17 atoms:
Cs 0.000 0.390 0.283
Cs 0.000 0.610 0.717
Cs 0.390 0.000 0.283
Cs 0.390 0.390 0.717
Cs 0.610 0.000 0.717
Cs 0.610 0.610 0.283
K 0.000 0.000 0.500
Na 0.000 0.226 0.847
Na 0.000 0.774 0.153
Na 0.226 0.000 0.847
Na 0.226 0.226 0.153
Na 0.333 0.667 0.000
Na 0.333 0.667 0.500
Na 0.667 0.333 0.000
Na 0.667 0.333 0.500
Na 0.774 0.000 0.153
Na 0.774 0.774 0.847

Principal peaks in the range 2θ from 15° to 90°, by angle:
2theta	I/Imax
16.5	22
17.8	100
21.3	17
24.4	62
24.9	38
25.7	53
27.1	18
30.8	21
31.9	38
35.3	20
44.6	16
46.1	18

---

# 10
# Cs20K3Na6
Calculated PXRD pattern, copper Kα. Input: a GGA-PBE-relaxed structure.
Neutral-atom scattering factors, no anomalous dispersion.

Structure:
abc: 15.752 15.752 15.752
angles: 60.00 60.00 60.00
Fractional coordinates of all 29 atoms:
Cs 0.000 0.000 0.338
Cs 0.000 0.000 0.662
Cs 0.000 0.338 0.000
Cs 0.000 0.338 0.662
Cs 0.000 0.662 0.000
Cs 0.000 0.662 0.338
Cs 0.140 0.620 0.620
Cs 0.338 0.000 0.000
Cs 0.338 0.000 0.662
Cs 0.338 0.662 0.000
Cs 0.380 0.380 0.380
Cs 0.380 0.380 0.860
Cs 0.380 0.860 0.380
Cs 0.620 0.140 0.620
Cs 0.620 0.620 0.140
Cs 0.620 0.620 0.620
Cs 0.662 0.000 0.000
Cs 0.662 0.000 0.338
Cs 0.662 0.338 0.000
Cs 0.860 0.380 0.380
K 0.000 0.000 0.000
K 0.250 0.250 0.250
K 0.750 0.750 0.750
Na 0.272 0.272 0.728
Na 0.272 0.728 0.272
Na 0.272 0.728 0.728
Na 0.728 0.272 0.272
Na 0.728 0.272 0.728
Na 0.728 0.728 0.272

Principal peaks in the range 2θ from 15° to 90°, by angle:
2theta	I/Imax
17.8	15
20.7	100
22.6	18
23.6	44
24.0	23
34.2	24
34.9	19
36.1	17
36.8	17
39.6	24
46.7	15
53.8	24

---

# 11
# Cs3KNa4
Calculated PXRD pattern, copper Kα. Input: a GGA-PBE-relaxed structure.
Neutral-atom scattering factors, no anomalous dispersion.

Structure:
abc: 8.024 10.213 13.270
angles: 90.00 90.00 90.00
Fractional coordinates of all 16 atoms:
Cs 0.000 0.000 0.000
Cs 0.000 0.237 0.651
Cs 0.000 0.763 0.651
Cs 0.500 0.263 0.151
Cs 0.500 0.500 0.500
Cs 0.500 0.737 0.151
K 0.000 0.500 0.066
K 0.500 0.000 0.566
Na 0.000 0.321 0.334
Na 0.000 0.679 0.334
Na 0.213 0.000 0.339
Na 0.287 0.500 0.839
Na 0.500 0.179 0.834
Na 0.500 0.821 0.834
Na 0.713 0.500 0.839
Na 0.787 0.000 0.339

Principal peaks in the range 2θ from 15° to 90°, by angle:
2theta	I/Imax
21.7	100
22.0	44
22.2	30
23.0	60
26.0	17
31.4	27
32.2	17
35.1	12
38.6	22
39.4	33
42.4	16
44.2	11

---

# 12
# Cs3K8Na2
Calculated PXRD pattern, copper Kα. Input: a GGA-PBE-relaxed structure.
Neutral-atom scattering factors, no anomalous dispersion.

Structure:
abc: 10.453 6.942 14.047
angles: 90.00 103.37 90.00
Fractional coordinates of all 13 atoms:
Cs 0.000 0.000 0.000
Cs 0.275 0.500 0.920
Cs 0.725 0.500 0.080
K 0.078 0.000 0.657
K 0.193 0.500 0.268
K 0.350 0.500 0.594
K 0.466 0.000 0.192
K 0.534 0.000 0.808
K 0.650 0.500 0.406
K 0.807 0.500 0.732
K 0.922 0.000 0.343
Na 0.330 0.000 0.440
Na 0.670 0.000 0.560

Principal peaks in the range 2θ from 15° to 90°, by angle:
2theta	I/Imax
18.9	53
21.7	75
23.2	51
23.3	100
23.8	65
25.7	46
26.5	46
34.8	29
37.2	31
43.9	17
44.6	17
45.4	20